# 1
The following is a computed PXRD pattern of HoFeB4. It was derived from a cell relaxed with PBE, using copper Kα.

Structural model:
```
HoFeB4
1.0
5.8760 0.0000 0.0000
0.0000 11.3647 0.0000
0.0000 0.0000 3.3654
Ho Fe B
4 4 16
Direct
0.1260 0.1501 0.0000
0.3740 0.6501 0.0000
0.6260 0.3499 0.0000
0.8740 0.8499 0.0000
0.1333 0.4112 0.0000
0.3667 0.9112 0.0000
0.6333 0.0888 0.0000
0.8667 0.5888 0.0000
0.0246 0.6903 0.5000
0.1116 0.5460 0.5000
0.1391 0.9681 0.5000
0.2180 0.8160 0.5000
0.2820 0.3160 0.5000
0.3609 0.4681 0.5000
0.3884 0.0460 0.5000
0.4754 0.1903 0.5000
0.5246 0.8097 0.5000
0.6116 0.9540 0.5000
0.6391 0.5319 0.5000
0.7180 0.6840 0.5000
0.7820 0.1840 0.5000
0.8609 0.0319 0.5000
0.8884 0.4540 0.5000
0.9754 0.3097 0.5000
```

Main lines, in order of rising 2θ (2θ from 10° to 90°):
2θ/deg, I (rel.), h k l
21.8, 25, 1 2 0
26.5, 65, 0 0 1
28.0, 31, 1 3 0
31.5, 87, 0 4 0
38.9, 33, 1 3 1
41.6, 100, 0 4 1

***

# 2
The following is a computed PXRD pattern of Sc2FeB2Ir5. It was derived from a cell relaxed with PBE, using copper Kα.

Structural model:
```
Sc2FeB2Ir5
1.0
9.3805 0.0000 0.0000
0.0000 9.3805 0.0000
0.0000 0.0000 3.0769
Sc Fe B Ir
4 2 4 10
Direct
0.1764 0.3236 0.0000
0.3236 0.8236 0.0000
0.6764 0.1764 0.0000
0.8236 0.6764 0.0000
0.0000 0.0000 0.0000
0.5000 0.5000 0.0000
0.1246 0.6246 0.0000
0.3754 0.1246 0.0000
0.6246 0.8754 0.0000
0.8754 0.3754 0.0000
0.0000 0.5000 0.5000
0.0695 0.7843 0.5000
0.2157 0.0695 0.5000
0.2843 0.5695 0.5000
0.4305 0.2843 0.5000
0.5000 0.0000 0.5000
0.5695 0.7157 0.5000
0.7157 0.4305 0.5000
0.7843 0.9305 0.5000
0.9305 0.2157 0.5000
```

Main lines, in order of rising 2θ (2θ from 10° to 90°):
2θ/deg, I (rel.), h k l
29.0, 90, 0 0 1
34.5, 49, 3 2 0
36.2, 48, 2 1 1
39.6, 83, 4 1 0
42.3, 100, 3 1 1
45.7, 58, 3 2 1